Entry 1:
The following is a computed powder diffraction line list of K2LiUTe4. It was derived from DFT lattice parameters and positions (GGA-PBE), using Cu Kα.
Lines closer than 0.1° are merged.

Structure:
```
data_K2LiUTe4
_chemical_formula_sum 'K2 Li1 U1 Te4'
_symmetry_space_group_name_H-M 'P 1'
_symmetry_Int_Tables_number 1
_symmetry_space_group_name_Hall 'P 1'
_cell_length_a 7.650
_cell_length_b 4.537
_cell_length_c 8.490
_cell_angle_alpha 90.00
_cell_angle_beta 107.55
_cell_angle_gamma 90.00
loop_
_atom_site_label
_atom_site_fract_x
_atom_site_fract_y
_atom_site_fract_z
K1 0.000 0.000 0.000
K2 0.500 0.500 0.000
Li1 0.000 0.500 0.500
U1 0.500 0.000 0.500
Te1 0.246 0.000 0.698
Te2 0.272 0.500 0.298
Te3 0.728 0.500 0.702
Te4 0.754 0.000 0.302
```

Most intense lines, 10° ≤ 2θ ≤ 80°, most intense first:
2θ 27.17, d = 3.282 Å, intensity 100, hkl 1 1 1
2θ 10.93, d = 8.095 Å, intensity 59, hkl 0 0 1
2θ 27.55, d = 3.238 Å, intensity 46, hkl 2 0 -2
2θ 40.58, d = 2.223 Å, intensity 36, hkl 3 1 -1
2θ 12.13, d = 7.294 Å, intensity 32, hkl 1 0 0
2θ 37.52, d = 2.397 Å, intensity 29, hkl 1 1 -3

***

Entry 2:
The following is a computed powder diffraction line list of UZn3N4. It was derived from DFT lattice parameters and positions (GGA-PBE), using Cu Kα.
Lines closer than 0.1° are merged.

Structure:
```
data_UZn3N4
_chemical_formula_sum 'U2 Zn6 N8'
_symmetry_space_group_name_H-M 'P 1'
_symmetry_Int_Tables_number 1
_symmetry_space_group_name_Hall 'P 1'
_cell_length_a 4.629
_cell_length_b 7.163
_cell_length_c 6.289
_cell_angle_alpha 90.00
_cell_angle_beta 90.00
_cell_angle_gamma 90.00
loop_
_atom_site_label
_atom_site_fract_x
_atom_site_fract_y
_atom_site_fract_z
U1 0.250 0.250 0.156
U2 0.750 0.750 0.844
Zn1 0.250 0.002 0.659
Zn2 0.250 0.498 0.659
Zn3 0.250 0.750 0.190
Zn4 0.750 0.250 0.810
Zn5 0.750 0.502 0.341
Zn6 0.750 0.998 0.341
N1 0.250 0.004 0.335
N2 0.250 0.250 0.827
N3 0.250 0.496 0.335
N4 0.250 0.750 0.843
N5 0.750 0.250 0.157
N6 0.750 0.504 0.665
N7 0.750 0.750 0.173
N8 0.750 0.996 0.665
```

Most intense lines, 10° ≤ 2θ ≤ 80°, most intense first:
2θ 34.73, d = 2.583 Å, intensity 100, hkl 1 2 1
2θ 34.48, d = 2.601 Å, intensity 55, hkl 1 0 2
2θ 28.68, d = 3.112 Å, intensity 52, hkl 0 2 1
2θ 38.91, d = 2.315 Å, intensity 42, hkl 2 0 0
2θ 50.44, d = 1.809 Å, intensity 36, hkl 0 2 3
2θ 22.87, d = 3.888 Å, intensity 32, hkl 1 1 0